[1]
Simulated X-ray powder pattern
Compound: Cs2HgBrF6
Radiation: Cu Kα (λ = 1.5418 Å)
Structure: a structure optimized by DFT (PBE)
Intensities are scaled so that the largest is 100.

Peak list (8 most intense, 5° ≤ 2θ ≤ 70°, by angle)
- d 5.576, I = 33
- d 3.532, I = 100
- d 3.398, I = 91
- d 3.324, I = 85
- d 2.561, I = 34
- d 2.029, I = 40
- d 1.982, I = 40
- d 1.910, I = 34

Structural model:
a b c (Å): 6.665 6.665 7.069
angles (deg): 120.30 120.30 85.89
Fractional positions:
Cs 0.250 0.750 0.000
Cs 0.750 0.250 0.000
Hg 0.000 0.000 0.500
Br 0.500 0.500 0.500
F 0.208 0.208 0.916
F 0.225 0.225 0.500
F 0.284 0.716 0.500
F 0.716 0.284 0.500
F 0.775 0.775 0.500
F 0.792 0.792 0.084

=====

[2]
Simulated X-ray powder pattern
Compound: CsKBr2F8
Radiation: Cu Kα (λ = 1.5418 Å)
Structure: a structure optimized by DFT (PBE)
Intensities are scaled so that the largest is 100.

Peak list (8 most intense, 5° ≤ 2θ ≤ 70°, by angle)
- d 5.168, I = 31
- d 4.899, I = 39
- d 4.432, I = 63
- d 3.949, I = 71
- d 3.150, I = 100
- d 2.998, I = 49
- d 2.364, I = 34
- d 2.216, I = 30

Structural model:
a b c (Å): 6.920 6.920 7.326
angles (deg): 98.17 98.17 45.17
Fractional positions:
Cs 0.000 0.000 0.000
K 0.500 0.500 0.500
Br 0.220 0.220 0.590
Br 0.780 0.780 0.410
F 0.096 0.096 0.410
F 0.110 0.608 0.254
F 0.352 0.352 0.751
F 0.392 0.890 0.746
F 0.608 0.110 0.254
F 0.648 0.648 0.249
F 0.890 0.392 0.746
F 0.904 0.904 0.590

=====

[3]
Simulated X-ray powder pattern
Compound: Cs3K2Br3F2
Radiation: Cu Kα (λ = 1.5418 Å)
Structure: a structure optimized by DFT (PBE)
Intensities are scaled so that the largest is 100.

Peak list (8 most intense, 5° ≤ 2θ ≤ 70°, by angle)
- d 3.637, I = 100
- d 3.614, I = 71
- d 3.527, I = 28
- d 2.903, I = 36
- d 2.572, I = 64
- d 2.563, I = 66
- d 2.095, I = 61
- d 1.625, I = 46

Structural model:
a b c (Å): 14.906 14.906 14.906
angles (deg): 160.13 160.13 28.24
Fractional positions:
Cs 0.000 0.000 0.000
Cs 0.374 0.374 0.000
Cs 0.626 0.626 0.000
K 0.250 0.750 0.500
K 0.750 0.250 0.500
Br 0.135 0.135 0.000
Br 0.500 0.500 0.000
Br 0.865 0.865 0.000
F 0.274 0.274 0.000
F 0.726 0.726 0.000